No. 1
Starting from a structure optimized by DFT (PBE), the X-ray powder pattern of Dy5Tl2Rh was computed for Cu Kα (λ = 1.5418 Å).
Neutral-atom scattering factors, no anomalous dispersion.

a = 7.462 Å, b = 12.306 Å, c = 4.747 Å
α = 90.00°, β = 90.00°, γ = 90.00°
Atoms (fractional coordinates):
1 Dy 0.000 0.000 0.000
2 Dy 0.134 0.293 0.000
3 Dy 0.181 0.577 0.500
4 Dy 0.319 0.077 0.500
5 Dy 0.366 0.793 0.000
6 Dy 0.500 0.500 0.000
7 Dy 0.634 0.207 0.000
8 Dy 0.681 0.923 0.500
9 Dy 0.819 0.423 0.500
10 Dy 0.866 0.707 0.000
11 Tl 0.085 0.834 0.500
12 Tl 0.415 0.334 0.500
13 Tl 0.585 0.666 0.500
14 Tl 0.915 0.166 0.500
15 Rh 0.000 0.500 0.000
16 Rh 0.500 0.000 0.000

Largest 6 diffraction maxima, in order of rising 2θ, 10 to 90 degrees two-theta:
2theta	I/Imax
31.21	62
31.35	100
31.45	41
33.85	41
34.75	40
37.91	52

---

No. 2
Starting from a structure optimized by DFT (PBE), the X-ray powder pattern of Tb4PmPrTm2 was computed for Cu Kα (λ = 1.5418 Å).
Neutral-atom scattering factors, no anomalous dispersion.

a = 7.142 Å, b = 7.142 Å, c = 12.378 Å
α = 106.78°, β = 106.78°, γ = 60.02°
Atoms (fractional coordinates):
1 Tb 0.248 0.750 0.747
2 Tb 0.249 0.249 0.746
3 Tb 0.250 0.250 0.253
4 Tb 0.250 0.752 0.253
5 Tb 0.750 0.248 0.747
6 Tb 0.750 0.750 0.747
7 Tb 0.751 0.751 0.254
8 Tb 0.752 0.250 0.253
9 Pm 0.500 0.500 0.000
10 Pm 0.500 0.500 0.500
11 Pr 0.000 0.500 0.000
12 Pr 0.500 0.000 0.000
13 Tm 0.000 0.000 0.000
14 Tm 0.000 0.000 0.500
15 Tm 0.000 0.500 0.500
16 Tm 0.500 0.000 0.500

Largest 6 diffraction maxima, in order of rising 2θ, 10 to 90 degrees two-theta:
2theta	I/Imax
30.65	100
35.54	51
51.14	36
60.81	43
83.40	18
86.08	17

---

No. 3
Starting from a structure optimized by DFT (PBE), the X-ray powder pattern of PuCd5Hg4Bi was computed for Cu Kα (λ = 1.5418 Å).
Neutral-atom scattering factors, no anomalous dispersion.

a = 5.484 Å, b = 5.484 Å, c = 9.964 Å
α = 90.00°, β = 90.00°, γ = 90.00°
Atoms (fractional coordinates):
1 Pu 0.000 0.000 0.000
2 Cd 0.000 0.500 0.195
3 Cd 0.000 0.500 0.805
4 Cd 0.500 0.000 0.195
5 Cd 0.500 0.000 0.805
6 Cd 0.500 0.500 0.500
7 Hg 0.000 0.000 0.326
8 Hg 0.000 0.000 0.674
9 Hg 0.000 0.500 0.500
10 Hg 0.500 0.000 0.500
11 Bi 0.500 0.500 0.000

Largest 6 diffraction maxima, in order of rising 2θ, 10 to 90 degrees two-theta:
2theta	I/Imax
31.49	17
32.66	90
35.59	100
46.86	33
60.20	44
65.74	18

---

No. 4
Starting from a structure optimized by DFT (PBE), the X-ray powder pattern of Ca2ZrAl was computed for Cu Kα (λ = 1.5418 Å).
Neutral-atom scattering factors, no anomalous dispersion.

a = 3.708 Å, b = 5.117 Å, c = 11.113 Å
α = 90.00°, β = 90.00°, γ = 90.00°
Atoms (fractional coordinates):
1 Ca 0.000 0.000 0.228
2 Ca 0.000 0.000 0.772
3 Ca 0.500 0.500 0.272
4 Ca 0.500 0.500 0.728
5 Zr 0.000 0.500 0.000
6 Zr 0.500 0.000 0.500
7 Al 0.000 0.500 0.500
8 Al 0.500 0.000 0.000

Largest 6 diffraction maxima, in order of rising 2θ, 10 to 90 degrees two-theta:
2theta	I/Imax
25.32	16
29.77	20
32.22	26
33.94	100
35.07	24
58.55	20

---

No. 5
Starting from a structure optimized by DFT (PBE), the X-ray powder pattern of NaAlZn2O4 was computed for Cu Kα (λ = 1.5418 Å).
Neutral-atom scattering factors, no anomalous dispersion.

a = 4.877 Å, b = 4.877 Å, c = 8.258 Å
α = 90.00°, β = 90.00°, γ = 90.00°
Atoms (fractional coordinates):
1 Na 0.000 0.000 0.000
2 Na 0.500 0.500 0.500
3 Al 0.000 0.000 0.500
4 Al 0.500 0.500 0.000
5 Zn 0.000 0.500 0.250
6 Zn 0.000 0.500 0.750
7 Zn 0.500 0.000 0.250
8 Zn 0.500 0.000 0.750
9 O 0.209 0.209 0.373
10 O 0.209 0.791 0.627
11 O 0.291 0.291 0.873
12 O 0.291 0.709 0.127
13 O 0.709 0.291 0.127
14 O 0.709 0.709 0.873
15 O 0.791 0.209 0.627
16 O 0.791 0.791 0.373

Largest 6 diffraction maxima, in order of rising 2θ, 10 to 90 degrees two-theta:
2theta	I/Imax
25.83	18
33.87	100
36.86	18
53.11	18
58.59	27
64.50	27

---

No. 6
Starting from a structure optimized by DFT (PBE), the X-ray powder pattern of MnCrW was computed for Cu Kα (λ = 1.5418 Å).
Neutral-atom scattering factors, no anomalous dispersion.

a = 4.739 Å, b = 4.842 Å, c = 6.696 Å
α = 90.00°, β = 90.00°, γ = 90.00°
Atoms (fractional coordinates):
1 Mn 0.000 0.000 0.000
2 Mn 0.000 0.500 0.000
3 Mn 0.500 0.000 0.500
4 Mn 0.500 0.500 0.500
5 Cr 0.250 0.250 0.250
6 Cr 0.250 0.750 0.750
7 Cr 0.750 0.250 0.250
8 Cr 0.750 0.750 0.750
9 W 0.000 0.250 0.623
10 W 0.000 0.750 0.377
11 W 0.500 0.250 0.877
12 W 0.500 0.750 0.123

Largest 6 diffraction maxima, in order of rising 2θ, 10 to 90 degrees two-theta:
2theta	I/Imax
22.66	28
22.99	28
37.78	100
44.13	68
44.68	94
44.89	30

---

No. 7
Starting from a structure optimized by DFT (PBE), the X-ray powder pattern of LaGa8Co2 was computed for Cu Kα (λ = 1.5418 Å).
Neutral-atom scattering factors, no anomalous dispersion.

a = 5.646 Å, b = 5.646 Å, c = 7.798 Å
α = 90.00°, β = 90.00°, γ = 90.00°
Atoms (fractional coordinates):
1 La 0.000 0.000 0.000
2 Ga 0.253 0.253 0.321
3 Ga 0.253 0.253 0.679
4 Ga 0.253 0.747 0.321
5 Ga 0.253 0.747 0.679
6 Ga 0.747 0.253 0.321
7 Ga 0.747 0.253 0.679
8 Ga 0.747 0.747 0.321
9 Ga 0.747 0.747 0.679
10 Co 0.000 0.500 0.500
11 Co 0.500 0.000 0.500

Largest 6 diffraction maxima, in order of rising 2θ, 10 to 90 degrees two-theta:
2theta	I/Imax
11.35	77
25.06	57
34.51	31
39.41	100
45.44	60
47.55	45

---

No. 8
Starting from a structure optimized by DFT (PBE), the X-ray powder pattern of Sm8Er5In was computed for Cu Kα (λ = 1.5418 Å).
Neutral-atom scattering factors, no anomalous dispersion.

a = 8.474 Å, b = 8.474 Å, c = 8.474 Å
α = 110.01°, β = 110.01°, γ = 108.40°
Atoms (fractional coordinates):
1 Sm 0.087 0.353 0.603
2 Sm 0.160 0.436 0.094
3 Sm 0.342 0.066 0.906
4 Sm 0.517 0.913 0.267
5 Sm 0.564 0.658 0.724
6 Sm 0.647 0.250 0.733
7 Sm 0.750 0.483 0.397
8 Sm 0.934 0.840 0.276
9 Er 0.018 0.713 0.898
10 Er 0.287 0.185 0.304
11 Er 0.500 0.500 0.000
12 Er 0.815 0.120 0.102
13 Er 0.880 0.982 0.696
14 In 0.250 0.750 0.500

Largest 6 diffraction maxima, in order of rising 2θ, 10 to 90 degrees two-theta:
2theta	I/Imax
28.53	41
29.02	100
34.08	65
34.33	33
34.48	35
54.78	19